No. 1
Starting from a GGA-PBE-relaxed structure, the XRD peak list of MgInW2 was calculated for Cu Ka.
Intensities are scaled so that the largest is 100.

Atomic structure:
```
MgInW2
1.0
3.3462 0.0000 0.0000
0.0000 3.3462 0.0000
0.0000 0.0000 6.5201
Mg In W
1 1 2
direct
0.0000 0.0000 0.0000
0.5000 0.5000 0.7320
0.0000 0.0000 0.4488
0.5000 0.5000 0.2595
```

Top 12 peaks for 2θ from 10° to 80°, low angle first:
- 13.58°, intensity 58
- 27.36°, intensity 7
- 30.02°, intensity 13
- 38.03°, intensity 58
- 38.56°, intensity 100
- 40.56°, intensity 17
- 50.04°, intensity 15
- 54.87°, intensity 20
- 63.48°, intensity 7
- 69.06°, intensity 36
- 70.10°, intensity 12
- 77.43°, intensity 8

No. 2
Starting from a GGA-PBE-relaxed structure, the XRD peak list of Rb2Sn5Hg was calculated for Cu Ka.
Intensities are scaled so that the largest is 100.

Atomic structure:
```
Rb2Sn5Hg
1.0
6.5572 0.0000 0.0000
0.0000 6.5572 0.0000
0.0000 0.0000 13.8904
Rb Sn Hg
4 10 2
direct
0.0000 0.5000 0.0000
0.0000 0.5000 0.5000
0.5000 0.0000 0.0000
0.5000 0.0000 0.5000
0.0000 0.0000 0.1301
0.2281 0.2281 0.7543
0.2281 0.7719 0.7543
0.2719 0.2719 0.2543
0.2719 0.7281 0.2543
0.5000 0.5000 0.6301
0.7281 0.2719 0.2543
0.7281 0.7281 0.2543
0.7719 0.2281 0.7543
0.7719 0.7719 0.7543
0.0000 0.0000 0.3790
0.5000 0.5000 0.8790
```

Top 12 peaks for 2θ from 10° to 80°, low angle first:
- 12.75°, intensity 46
- 14.94°, intensity 36
- 23.52°, intensity 39
- 30.14°, intensity 100
- 31.17°, intensity 39
- 32.21°, intensity 48
- 37.73°, intensity 51
- 38.85°, intensity 58
- 48.11°, intensity 28
- 51.32°, intensity 30
- 56.11°, intensity 21
- 67.38°, intensity 23

No. 3
Starting from a GGA-PBE-relaxed structure, the XRD peak list of DyMg16Al12 was calculated for Cu Ka.
Intensities are scaled so that the largest is 100.

Atomic structure:
```
DyMg16Al12
1.0
7.5319 4.3485 2.9920
-7.5319 4.3485 2.9920
0.0000 -8.6971 2.9920
Dy Mg Al
1 16 12
direct
0.0000 0.0000 0.0000
0.0208 0.3147 0.6269
0.0208 0.6269 0.3147
0.2362 0.2362 0.9052
0.2362 0.9052 0.2362
0.2829 0.6240 0.6240
0.3147 0.0208 0.6269
0.3147 0.6269 0.0208
0.3429 0.9414 0.9414
0.6240 0.2829 0.6240
0.6240 0.6240 0.2829
0.6255 0.6255 0.6255
0.6269 0.0208 0.3147
0.6269 0.3147 0.0208
0.9052 0.2362 0.2362
0.9414 0.3429 0.9414
0.9414 0.9414 0.3429
0.2543 0.2543 0.4378
0.2543 0.4378 0.2543
0.4378 0.2543 0.2543
0.4377 0.4377 0.7995
0.4377 0.7995 0.4377
0.6278 0.8127 0.9917
0.6278 0.9917 0.8127
0.7995 0.4377 0.4377
0.8127 0.6278 0.9917
0.8127 0.9917 0.6278
0.9917 0.6278 0.8127
0.9917 0.8127 0.6278
```

Top 12 peaks for 2θ from 10° to 80°, low angle first:
- 11.75°, intensity 71
- 11.97°, intensity 47
- 16.80°, intensity 28
- 20.55°, intensity 33
- 26.56°, intensity 20
- 31.46°, intensity 29
- 35.79°, intensity 85
- 36.07°, intensity 97
- 36.45°, intensity 100
- 39.76°, intensity 49
- 41.80°, intensity 25
- 64.71°, intensity 27

No. 4
Starting from a GGA-PBE-relaxed structure, the XRD peak list of MgReO4 was calculated for Cu Ka.
Intensities are scaled so that the largest is 100.

Atomic structure:
```
MgReO4
1.0
6.3109 0.0000 0.0000
0.0000 6.3109 0.0000
0.0000 0.0000 7.9443
Mg Re O
2 2 8
direct
0.0000 0.0000 0.0000
0.5000 0.5000 0.5000
0.0000 0.5000 0.7500
0.5000 0.0000 0.2500
0.0112 0.7503 0.8561
0.2497 0.0112 0.1439
0.2503 0.4888 0.6439
0.4888 0.7497 0.3561
0.5112 0.2503 0.3561
0.7497 0.5112 0.6439
0.7503 0.9888 0.1439
0.9888 0.2497 0.8561
```

Top 12 peaks for 2θ from 10° to 80°, low angle first:
- 17.95°, intensity 100
- 19.90°, intensity 20
- 22.38°, intensity 9
- 28.28°, intensity 15
- 30.12°, intensity 26
- 33.70°, intensity 22
- 36.36°, intensity 11
- 36.81°, intensity 10
- 44.56°, intensity 9
- 47.06°, intensity 15
- 51.23°, intensity 12
- 61.72°, intensity 7

No. 5
Starting from a GGA-PBE-relaxed structure, the XRD peak list of CsAcCuI6 was calculated for Cu Ka.
Intensities are scaled so that the largest is 100.

Atomic structure:
```
CsAcCuI6
1.0
7.5916 0.0000 0.0000
-1.9102 7.3520 0.0000
-1.2402 -1.6478 8.4201
Cs Ac Cu I
1 1 1 6
direct
0.0000 0.0000 0.0000
0.3877 0.6161 0.5001
0.7568 0.2456 0.5041
0.0810 0.5603 0.1918
0.1043 0.2941 0.6390
0.4411 0.9248 0.8079
0.5220 0.2990 0.2752
0.6974 0.4805 0.7303
0.7194 0.8993 0.3703
```

Top 12 peaks for 2θ from 10° to 80°, low angle first:
- 10.51°, intensity 64
- 14.57°, intensity 47
- 17.64°, intensity 52
- 18.14°, intensity 58
- 19.99°, intensity 84
- 25.84°, intensity 50
- 26.46°, intensity 42
- 27.49°, intensity 100
- 30.01°, intensity 74
- 33.97°, intensity 49
- 36.63°, intensity 43
- 37.39°, intensity 50

No. 6
Starting from a GGA-PBE-relaxed structure, the XRD peak list of RbSn4Sb2 was calculated for Cu Ka.
Intensities are scaled so that the largest is 100.

Atomic structure:
```
RbSn4Sb2
1.0
4.3624 0.0000 0.0000
0.7757 4.3100 0.0000
0.6755 0.5458 12.2561
Rb Sn Sb
1 4 2
direct
0.0000 0.0000 0.0000
0.1170 0.1184 0.3042
0.2883 0.2897 0.5509
0.7117 0.7103 0.4491
0.8830 0.8816 0.6958
0.4619 0.4621 0.7876
0.5381 0.5379 0.2124
```

Top 12 peaks for 2θ from 10° to 80°, low angle first:
- 28.15°, intensity 63
- 29.14°, intensity 14
- 29.48°, intensity 100
- 31.36°, intensity 21
- 31.92°, intensity 61
- 35.19°, intensity 32
- 42.98°, intensity 20
- 43.16°, intensity 20
- 43.32°, intensity 28
- 45.23°, intensity 30
- 45.32°, intensity 22
- 55.38°, intensity 17

No. 7
Starting from a GGA-PBE-relaxed structure, the XRD peak list of Er2Cd3 was calculated for Cu Ka.
Intensities are scaled so that the largest is 100.

Atomic structure:
```
Er2Cd3
1.0
1.7195 -14.6832 0.0000
1.7195 14.6832 0.0000
0.0000 0.0000 4.9308
Er Cd
4 6
direct
0.0749 0.9251 0.7500
0.2160 0.7840 0.2500
0.7840 0.2160 0.7500
0.9251 0.0749 0.2500
0.3250 0.6750 0.2500
0.3789 0.6211 0.7500
0.4762 0.5238 0.7500
0.5238 0.4762 0.2500
0.6211 0.3789 0.2500
0.6750 0.3250 0.7500
```

Top 12 peaks for 2θ from 10° to 80°, low angle first:
- 33.05°, intensity 100
- 33.70°, intensity 52
- 35.58°, intensity 84
- 36.44°, intensity 43
- 48.20°, intensity 14
- 50.48°, intensity 33
- 53.27°, intensity 14
- 63.11°, intensity 14
- 63.44°, intensity 15
- 65.03°, intensity 14
- 65.71°, intensity 27
- 66.27°, intensity 16

No. 8
Starting from a GGA-PBE-relaxed structure, the XRD peak list of Pr4YEr7 was calculated for Cu Ka.
Intensities are scaled so that the largest is 100.

Atomic structure:
```
Pr4YEr7
1.0
6.5851 0.0000 0.0000
1.0355 6.7853 0.0000
1.9920 0.5975 8.8241
Pr Y Er
4 1 7
direct
0.1387 0.3074 0.2874
0.3332 0.8868 0.6927
0.6668 0.1132 0.3073
0.8613 0.6926 0.7126
0.5000 0.5000 0.0000
0.0123 0.2528 0.9521
0.1812 0.7973 0.3547
0.3146 0.3955 0.6197
0.5000 0.0000 0.0000
0.6854 0.6045 0.3803
0.8188 0.2027 0.6453
0.9877 0.7472 0.0479
```

Top 12 peaks for 2θ from 10° to 80°, low angle first:
- 30.39°, intensity 37
- 31.03°, intensity 40
- 31.55°, intensity 100
- 31.68°, intensity 11
- 31.85°, intensity 88
- 32.36°, intensity 14
- 35.08°, intensity 12
- 43.52°, intensity 12
- 45.21°, intensity 12
- 46.13°, intensity 14
- 55.34°, intensity 13
- 56.53°, intensity 25

No. 9
Starting from a GGA-PBE-relaxed structure, the XRD peak list of Tb7Pm6Ho16 was calculated for Cu Ka.
Intensities are scaled so that the largest is 100.

Atomic structure:
```
Tb7Pm6Ho16
1.0
0.0000 7.8800 7.8800
7.8800 0.0000 7.8800
7.8800 7.8800 0.0000
Tb Pm Ho
7 6 16
direct
0.0000 0.0000 0.0000
0.0000 0.0000 0.5000
0.0000 0.5000 0.0000
0.0000 0.5000 0.5000
0.5000 0.0000 0.0000
0.5000 0.0000 0.5000
0.5000 0.5000 0.0000
0.2719 0.2719 0.7281
0.2719 0.7281 0.2719
0.2719 0.7281 0.7281
0.7281 0.2719 0.2719
0.7281 0.2719 0.7281
0.7281 0.7281 0.2719
0.0471 0.6510 0.6510
0.1264 0.1264 0.1264
0.1264 0.1264 0.6207
0.1264 0.6207 0.1264
0.3490 0.3490 0.3490
0.3490 0.3490 0.9529
0.3490 0.9529 0.3490
0.3793 0.8736 0.8736
0.6207 0.1264 0.1264
0.6510 0.0471 0.6510
0.6510 0.6510 0.0471
0.6510 0.6510 0.6510
0.8736 0.3793 0.8736
0.8736 0.8736 0.3793
0.8736 0.8736 0.8736
0.9529 0.3490 0.3490
```

Top 12 peaks for 2θ from 10° to 80°, low angle first:
- 27.73°, intensity 6
- 29.45°, intensity 12
- 32.13°, intensity 100
- 33.64°, intensity 6
- 34.13°, intensity 6
- 44.14°, intensity 6
- 46.07°, intensity 14
- 52.93°, intensity 5
- 57.28°, intensity 25
- 60.79°, intensity 6
- 67.20°, intensity 7
- 76.45°, intensity 7

No. 10
Starting from a GGA-PBE-relaxed structure, the XRD peak list of Li2SnP2O7 was calculated for Cu Ka.
Intensities are scaled so that the largest is 100.

Atomic structure:
```
Li2SnP2O7
1.0
5.3206 0.0000 0.0000
0.3830 7.5779 0.0000
0.2051 3.5555 7.9758
Li Sn P O
4 2 4 14
direct
0.1646 0.3246 0.0712
0.2088 0.3674 0.5016
0.7912 0.6326 0.4984
0.8354 0.6754 0.9288
0.2831 0.7781 0.1940
0.7169 0.2219 0.8060
0.2855 0.6228 0.6866
0.2952 0.9358 0.7923
0.7048 0.0642 0.2077
0.7145 0.3772 0.3134
0.0290 0.9090 0.8618
0.1302 0.5309 0.8456
0.1571 0.6256 0.5301
0.3195 0.8503 0.6501
0.3597 0.1514 0.6991
0.4395 0.4599 0.3005
0.4954 0.8298 0.9298
0.5046 0.1702 0.0702
0.5605 0.5401 0.6995
0.6403 0.8486 0.3009
0.6805 0.1497 0.3499
0.8429 0.3744 0.4699
0.8698 0.4691 0.1544
0.9710 0.0910 0.1382
```

Top 12 peaks for 2θ from 10° to 80°, low angle first:
- 13.08°, intensity 89
- 20.62°, intensity 76
- 21.53°, intensity 100
- 22.29°, intensity 67
- 26.28°, intensity 39
- 28.01°, intensity 39
- 28.24°, intensity 47
- 29.65°, intensity 35
- 30.71°, intensity 27
- 33.73°, intensity 33
- 35.71°, intensity 22
- 35.85°, intensity 45

No. 11
Starting from a GGA-PBE-relaxed structure, the XRD peak list of Ce3Er was calculated for Cu Ka.
Intensities are scaled so that the largest is 100.

Atomic structure:
```
Ce3Er
1.0
4.7871 0.0000 0.0000
0.0000 4.7871 0.0000
0.0000 0.0000 9.7658
Ce Er
6 2
direct
0.0000 0.0000 0.0000
0.0000 0.5000 0.2500
0.0000 0.5000 0.7500
0.5000 0.0000 0.2500
0.5000 0.0000 0.7500
0.5000 0.5000 0.5000
0.0000 0.0000 0.5000
0.5000 0.5000 0.0000
```

Top 10 peaks for 2θ from 10° to 80°, low angle first:
- 20.66°, intensity 1
- 32.18°, intensity 100
- 36.81°, intensity 17
- 37.58°, intensity 33
- 53.62°, intensity 24
- 54.19°, intensity 11
- 63.41°, intensity 14
- 64.44°, intensity 27
- 67.32°, intensity 12
- 78.33°, intensity 2

What is the formula in the tenth record? Li2SnP2O7